Starting from DFT lattice parameters and positions (GGA-PBE), the X-ray powder pattern of AgSbTeSe was calculated for CuKα.
No peak broadening, texture or thermal motion is included.

Principal peaks in the range 10° ≤ 2θ ≤ 80°, by angle:
- hkl 0 0 2, 2θ 29.76, rel. 52
- hkl 1 1 0, 2θ 30.23, rel. 100
- hkl 1 1 2, 2θ 42.93, rel. 75
- hkl 2 0 0, 2θ 43.28, rel. 37
- hkl 2 0 2, 2θ 53.41, rel. 39
- hkl 1 1 4, 2θ 70.33, rel. 17
- hkl 2 2 2, 2θ 71.09, rel. 16
- hkl 3 1 0, 2θ 71.34, rel. 16
- hkl 2 0 4, 2θ 78.43, rel. 12
- hkl 3 1 2, 2θ 79.16, rel. 24

Atomic structure:
Lattice parameters (Å, degrees): 4.181 4.181 6.005 90.00 90.00 90.00
Fractional coordinates of all 4 atoms:
Ag1 0.000 0.000 0.000
Sb1 0.500 0.500 0.500
Te1 0.500 0.500 0.000
Se1 0.000 0.000 0.500



Starting from DFT lattice parameters and positions (GGA-PBE), the X-ray powder pattern of TlAgSbSe2 was calculated for CuKα.
No peak broadening, texture or thermal motion is included.

Principal peaks in the range 10° ≤ 2θ ≤ 80°, by angle:
- hkl 0 1 1, 2θ 18.69, rel. 57
- hkl 1 1 1, 2θ 23.82, rel. 50
- hkl 1 0 -2, 2θ 25.57, rel. 58
- hkl 1 1 -2, 2θ 29.68, rel. 60
- hkl 1 1 2, 2θ 31.55, rel. 100
- hkl 2 1 -1, 2θ 32.59, rel. 52
- hkl 2 0 -2, 2θ 34.33, rel. 65
- hkl 1 2 -1, 2θ 34.58, rel. 91
- hkl 0 1 3, 2θ 37.70, rel. 54
- hkl 3 1 -2, 2θ 48.74, rel. 35

Atomic structure:
Lattice parameters (Å, degrees): 6.512 5.978 7.839 90.00 95.09 90.00
Fractional coordinates of all 10 atoms:
Tl1 0.000 0.131 0.250
Tl2 0.000 0.869 0.750
Ag1 0.500 0.000 0.000
Ag2 0.500 0.000 0.500
Sb1 0.500 0.386 0.250
Sb2 0.500 0.614 0.750
Se1 0.252 0.320 0.923
Se2 0.252 0.680 0.423
Se3 0.748 0.320 0.577
Se4 0.748 0.680 0.077



Starting from DFT lattice parameters and positions (GGA-PBE), the X-ray powder pattern of Tl2AgSbSe4 was calculated for CuKα.
No peak broadening, texture or thermal motion is included.

Principal peaks in the range 10° ≤ 2θ ≤ 80°, by angle:
- hkl 1 -1 1, 2θ 22.66, rel. 30
- hkl -1 1 1, 2θ 23.14, rel. 26
- hkl 1 1 -2, 2θ 26.41, rel. 52
- hkl 2 0 -1, 2θ 27.11, rel. 100
- hkl 0 2 -2, 2θ 31.23, rel. 21
- hkl 0 0 2, 2θ 31.42, rel. 44
- hkl 2 -2 0, 2θ 33.77, rel. 42
- hkl 1 2 -1, 2θ 34.14, rel. 22
- hkl 2 0 1, 2θ 41.70, rel. 23
- hkl 1 -3 2, 2θ 43.11, rel. 24

Atomic structure:
Lattice parameters (Å, degrees): 6.763 6.765 7.069 112.34 110.73 103.45
Fractional coordinates of all 8 atoms:
Tl1 0.000 0.000 0.000
Tl2 0.152 0.652 0.500
Ag1 0.414 0.415 0.000
Sb1 0.651 0.151 0.500
Se1 0.021 0.486 0.874
Se2 0.310 0.199 0.556
Se3 0.612 0.147 0.126
Se4 0.644 0.754 0.444